Theoretical PXRD pattern of ErB6 for Cu Ka, from a cell relaxed with GGA-PBE.
Neutral-atom scattering factors, no anomalous dispersion.

Main lines, sorted by position (2θ from 5° to 70°):
21.7°, I 71, hkl 1 0 0; 30.9°, I 100, hkl 1 1 0; 38.1°, I 42, hkl 1 1 1; 44.3°, I 21, hkl 2 0 0; 49.9°, I 50, hkl 2 1 0; 55.0°, I 29, hkl 2 1 1; 64.5°, I 10, hkl 2 2 0; 68.9°, I 28, hkl 2 2 1

Lattice parameters (Å, degrees): 4.0865 4.0865 4.0865 90.00 90.00 90.00
Atoms (fractional coordinates):
Er (0.0000, 0.0000, 0.0000)
B (0.1987, 0.5000, 0.5000)
B (0.5000, 0.1987, 0.5000)
B (0.5000, 0.5000, 0.1987)
B (0.5000, 0.5000, 0.8013)
B (0.5000, 0.8013, 0.5000)
B (0.8013, 0.5000, 0.5000)